BaAg8S5: theoretical X-ray powder pattern (Cu Kα, 1.54184 Å), based on the PBE geometry in the Materials Project.
Lines closer than 0.1° are merged.

Peak list (12 most intense, 10° ≤ 2θ ≤ 90°, by angle)
Position (°2θ), I (rel.)
11.83, 26
24.32, 26
31.29, 100
32.60, 64
34.16, 33
34.88, 25
35.99, 69
37.16, 34
37.51, 56
38.86, 33
39.21, 35
40.39, 32

Structure:
```
BaAg8S5
1.0
7.8776 0.0000 0.0000
0.0000 17.7137 0.0000
-2.8426 0.0000 8.6333
Ba Ag S
4 32 20
direct
0.0611 0.2500 0.2470 Ba
0.0998 0.2500 0.7862 Ba
0.9002 0.7500 0.2138 Ba
0.9389 0.7500 0.7530 Ba
0.0000 0.0000 0.0000 Ag
0.0000 0.5000 0.0000 Ag
0.1296 0.5510 0.3471 Ag
0.1296 0.9490 0.3471 Ag
0.1858 0.5490 0.7112 Ag
0.1858 0.9510 0.7112 Ag
0.2412 0.0968 0.5725 Ag
0.2412 0.4032 0.5725 Ag
0.3876 0.6631 0.2797 Ag
0.3876 0.8369 0.2797 Ag
0.3989 0.6597 0.9578 Ag
0.3989 0.8403 0.9578 Ag
0.4384 0.5056 0.1458 Ag
0.4384 0.9944 0.1458 Ag
0.4461 0.6617 0.6301 Ag
0.4461 0.8383 0.6301 Ag
0.5000 0.0000 0.5000 Ag
0.5000 0.5000 0.5000 Ag
0.5539 0.1617 0.3699 Ag
0.5539 0.3383 0.3699 Ag
0.5616 0.0056 0.8542 Ag
0.5616 0.4944 0.8542 Ag
0.6011 0.1597 0.0422 Ag
0.6011 0.3403 0.0422 Ag
0.6124 0.1631 0.7203 Ag
0.6124 0.3369 0.7203 Ag
0.7588 0.5968 0.4275 Ag
0.7588 0.9032 0.4275 Ag
0.8142 0.0490 0.2888 Ag
0.8142 0.4510 0.2888 Ag
0.8704 0.0510 0.6529 Ag
0.8704 0.4490 0.6529 Ag
0.1055 0.6535 0.5275 S
0.1055 0.8465 0.5275 S
0.1326 0.6347 0.0449 S
0.1326 0.8653 0.0449 S
0.2690 0.0714 0.2971 S
0.2690 0.4286 0.2971 S
0.2721 0.0693 0.8573 S
0.2721 0.4307 0.8573 S
0.3780 0.2500 0.5677 S
0.4051 0.2500 0.1207 S
0.5949 0.7500 0.8793 S
0.6220 0.7500 0.4323 S
0.7279 0.5693 0.1427 S
0.7279 0.9307 0.1427 S
0.7310 0.5714 0.7029 S
0.7310 0.9286 0.7029 S
0.8674 0.1347 0.9551 S
0.8674 0.3653 0.9551 S
0.8945 0.1535 0.4725 S
0.8945 0.3465 0.4725 S
```

SnH2C4O3: theoretical X-ray powder pattern (Cu Kα, 1.54184 Å), based on the PBE geometry in the Materials Project.
Lines closer than 0.1° are merged.

Peak list (12 most intense, 10° ≤ 2θ ≤ 90°, by angle)
Position (°2θ), I (rel.)
12.28, 33
13.39, 100
20.55, 30
20.68, 31
20.84, 79
21.64, 41
24.61, 23
24.71, 53
26.96, 23
28.33, 22
35.61, 22
35.82, 22

Structure:
```
SnH2C4O3
1.0
5.1428 0.0000 0.0000
0.4025 8.5920 0.0000
0.0212 0.0110 13.2283
Sn H C O
4 8 16 12
direct
0.0828 0.2262 0.2455 Sn
0.4171 0.2738 0.7455 Sn
0.5829 0.7262 0.2545 Sn
0.9172 0.7738 0.7545 Sn
0.0715 0.6857 0.5406 H
0.1134 0.4332 0.4134 H
0.3869 0.0665 0.9135 H
0.4290 0.8142 0.0407 H
0.5710 0.1858 0.9593 H
0.6131 0.9335 0.0865 H
0.8866 0.5668 0.5866 H
0.9285 0.3143 0.4594 H
0.0269 0.9373 0.9575 C
0.0584 0.1485 0.7358 C
0.0650 0.9922 0.2994 C
0.2048 0.8501 0.2747 C
0.2950 0.6499 0.7745 C
0.4346 0.5076 0.7992 C
0.4415 0.3515 0.2359 C
0.4730 0.5627 0.4576 C
0.5270 0.4373 0.5424 C
0.5585 0.6485 0.7641 C
0.5654 0.4924 0.2008 C
0.7050 0.3501 0.2255 C
0.7952 0.1499 0.7253 C
0.9350 0.0078 0.7006 C
0.9416 0.8515 0.2642 C
0.9731 0.0627 0.0425 C
0.0528 0.3241 0.4026 O
0.1685 0.1222 0.0835 O
0.2391 0.5961 0.4326 O
0.2610 0.9038 0.9325 O
0.3315 0.3773 0.5837 O
0.4473 0.1758 0.9026 O
0.5527 0.8242 0.0974 O
0.6685 0.6227 0.4163 O
0.7390 0.0962 0.0675 O
0.7609 0.4039 0.5674 O
0.8315 0.8778 0.9165 O
0.9472 0.6759 0.5974 O
```

LiPm2Si: theoretical X-ray powder pattern (Cu Kα, 1.54184 Å), based on the PBE geometry in the Materials Project.
Lines closer than 0.1° are merged.

Peak list (11 most intense, 10° ≤ 2θ ≤ 90°, by angle)
Position (°2θ), I (rel.)
21.30, 1
24.64, 78
35.13, 100
41.45, 1
43.38, 23
50.53, 18
57.00, 32
63.03, 36
74.25, 11
79.61, 15
84.88, 16

Structure:
```
LiPm2Si
1.0
0.0000 3.6127 3.6127
3.6127 0.0000 3.6127
3.6127 3.6127 0.0000
Li Pm Si
1 2 1
direct
0.0000 0.0000 0.0000 Li
0.2500 0.2500 0.2500 Pm
0.7500 0.7500 0.7500 Pm
0.5000 0.5000 0.5000 Si
```

PuInHg2: theoretical X-ray powder pattern (Cu Kα, 1.54184 Å), based on the PBE geometry in the Materials Project.
Lines closer than 0.1° are merged.

Peak list (11 most intense, 10° ≤ 2θ ≤ 90°, by angle)
Position (°2θ), I (rel.)
20.86, 5
24.13, 1
34.39, 100
40.57, 3
49.43, 18
54.21, 1
61.61, 38
65.80, 1
72.50, 12
76.40, 1
82.77, 17

Structure:
```
PuInHg2
1.0
0.0000 3.6876 3.6876
3.6876 0.0000 3.6876
3.6876 3.6876 0.0000
Pu In Hg
1 1 2
direct
0.0000 0.0000 0.0000 Pu
0.5000 0.5000 0.5000 In
0.2500 0.2500 0.2500 Hg
0.7500 0.7500 0.7500 Hg
```

NbZnPb2O6: theoretical X-ray powder pattern (Cu Kα, 1.54184 Å), based on the PBE geometry in the Materials Project.
Lines closer than 0.1° are merged.

Peak list (12 most intense, 10° ≤ 2θ ≤ 90°, by angle)
Position (°2θ), I (rel.)
21.60, 39
30.47, 100
31.00, 99
38.10, 22
44.03, 51
49.19, 19
53.81, 20
54.82, 41
55.15, 20
64.63, 18
72.26, 16
73.12, 17

Structure:
```
NbZnPb2O6
1.0
2.8844 1.6653 4.8325
-2.8844 1.6653 4.8325
0.0000 -3.3306 4.8325
Nb Zn Pb O
1 1 2 6
direct
0.0000 0.0000 0.0000 Nb
0.4978 0.4978 0.4978 Zn
0.2667 0.2667 0.2667 Pb
0.7706 0.7706 0.7706 Pb
0.2087 0.7441 0.7441 O
0.2330 0.2330 0.7253 O
0.2330 0.7253 0.2330 O
0.7253 0.2330 0.2330 O
0.7441 0.2087 0.7441 O
0.7441 0.7441 0.2087 O
```